# NaPd2Pb2
Computed PXRD pattern, Cu Kα. Input: DFT lattice parameters and positions (PBE).
Peak positions follow from Bragg's law for the DFT cell and can differ from measured ones.

Peak list (12 most intense, 10 to 80 degrees two-theta, in order of rising 2θ)
d_spacing, two_theta, I_rel
7.639, 11.58, 35
4.709, 18.84, 29
4.009, 22.18, 22
3.375, 26.40, 62
3.260, 27.36, 34
3.129, 28.53, 40
2.466, 36.43, 100
2.420, 37.15, 24
2.356, 38.20, 74
2.240, 40.26, 53
2.153, 41.97, 51
1.282, 73.91, 24

Atomic structure:
```
NaPd2Pb2
1.0
6.2574 0.0000 0.0000
0.0000 4.7093 0.0000
0.0000 0.0000 7.6388
Na Pd Pb
2 4 4
direct
0.0000 0.0000 0.0000
0.5000 0.0000 0.0000
0.0000 0.5000 0.5000
0.2500 0.5000 0.1741
0.5000 0.5000 0.5000
0.7500 0.5000 0.8259
0.2500 0.0000 0.3972
0.2500 0.5000 0.8050
0.7500 0.0000 0.6028
0.7500 0.5000 0.1950
```

=====

# Np2URhN4
Computed PXRD pattern, Cu Kα. Input: DFT lattice parameters and positions (PBE).
Peak positions follow from Bragg's law for the DFT cell and can differ from measured ones.

Peak list (12 most intense, 10 to 80 degrees two-theta, in order of rising 2θ)
d_spacing, two_theta, I_rel
3.186, 28.01, 95
2.878, 31.08, 21
2.859, 31.29, 68
2.814, 31.80, 100
2.465, 36.45, 45
2.310, 39.00, 80
1.874, 48.59, 26
1.797, 50.82, 26
1.707, 53.70, 21
1.700, 53.93, 25
1.681, 54.59, 20
1.487, 62.46, 22

Atomic structure:
```
Np2URhN4
1.0
1.6811 -5.7178 0.0000
1.6811 5.7178 0.0000
0.0000 0.0000 11.5107
Np U Rh N
4 2 2 8
direct
0.1281 0.8719 0.5573
0.1281 0.8719 0.9427
0.8719 0.1281 0.0573
0.8719 0.1281 0.4427
0.3844 0.6156 0.7500
0.6156 0.3844 0.2500
0.3456 0.6544 0.2500
0.6544 0.3456 0.7500
0.0181 0.9819 0.7500
0.2163 0.7837 0.1152
0.2163 0.7837 0.3848
0.5000 0.5000 0.0000
0.5000 0.5000 0.5000
0.7837 0.2163 0.6152
0.7837 0.2163 0.8848
0.9819 0.0181 0.2500
```

=====

# Cd2ICl2
Computed PXRD pattern, Cu Kα. Input: DFT lattice parameters and positions (PBE).
Peak positions follow from Bragg's law for the DFT cell and can differ from measured ones.

Peak list (12 most intense, 10 to 80 degrees two-theta, in order of rising 2θ)
d_spacing, two_theta, I_rel
6.976, 12.69, 100
4.502, 19.72, 24
4.323, 20.55, 41
3.898, 22.81, 22
3.488, 25.54, 26
3.405, 26.17, 21
2.896, 30.88, 19
2.565, 34.98, 18
2.351, 38.29, 27
2.324, 38.74, 29
2.161, 41.79, 16
2.143, 42.16, 25

Atomic structure:
```
Cd2ICl2
1.0
-3.9009 3.9009 7.7890
3.9009 -3.9009 7.7890
3.9009 3.9009 -7.7890
Cd I Cl
4 2 4
direct
0.1888 0.0000 0.1888
0.7500 0.0612 0.3112
0.7500 0.4388 0.6888
0.8112 0.0000 0.8112
0.4047 0.9047 0.5000
0.6547 0.6547 0.0000
0.4158 0.1625 0.2532
0.9093 0.1625 0.7468
0.9125 0.1593 0.2468
0.9125 0.6658 0.7532
```

=====

# La3Sc4Sn4
Computed PXRD pattern, Cu Kα. Input: DFT lattice parameters and positions (PBE).
Peak positions follow from Bragg's law for the DFT cell and can differ from measured ones.

Peak list (12 most intense, 10 to 80 degrees two-theta, in order of rising 2θ)
d_spacing, two_theta, I_rel
3.577, 24.89, 42
3.098, 28.82, 100
2.771, 32.31, 45
2.342, 38.44, 21
2.065, 43.83, 39
1.959, 46.34, 15
1.868, 48.74, 18
1.789, 51.06, 21
1.503, 61.72, 13
1.461, 63.72, 17
1.422, 65.68, 13
1.321, 71.40, 14

Atomic structure:
```
La3Sc4Sn4
1.0
-4.3815 4.3815 4.3815
4.3815 -4.3815 4.3815
4.3815 4.3815 -4.3815
La Sc Sn
3 4 4
direct
0.0000 0.5000 0.5000
0.5000 0.0000 0.5000
0.5000 0.5000 0.0000
0.0000 0.0000 0.7515
0.0000 0.7515 0.0000
0.2485 0.2485 0.2485
0.7515 0.0000 0.0000
0.0000 0.0000 0.3858
0.0000 0.3858 0.0000
0.3858 0.0000 0.0000
0.6142 0.6142 0.6142
```

=====

# Ta3W5
Computed PXRD pattern, Cu Kα. Input: DFT lattice parameters and positions (PBE).
Peak positions follow from Bragg's law for the DFT cell and can differ from measured ones.

Peak list (3 most intense, 10 to 80 degrees two-theta, in order of rising 2θ)
d_spacing, two_theta, I_rel
2.281, 39.50, 100
1.613, 57.10, 17
1.317, 71.66, 35

Atomic structure:
```
Ta3W5
1.0
6.4491 0.0000 0.0000
0.0000 4.5622 4.5646
0.0000 -4.5622 4.5646
Ta W
6 10
direct
0.0000 0.0000 0.0000
0.0000 0.0003 0.5055
0.0000 0.5055 0.0003
0.2528 0.2533 0.2533
0.5000 0.5067 0.5067
0.7472 0.2533 0.2533
0.0000 0.5050 0.5050
0.2524 0.2533 0.7532
0.2524 0.7532 0.2533
0.2528 0.7532 0.7532
0.5000 0.0011 0.0011
0.5000 0.0011 0.5061
0.5000 0.5061 0.0011
0.7472 0.7532 0.7532
0.7476 0.2533 0.7532
0.7476 0.7532 0.2533
```

=====

# YCo4Ge2
Computed PXRD pattern, Cu Kα. Input: DFT lattice parameters and positions (PBE).
Peak positions follow from Bragg's law for the DFT cell and can differ from measured ones.

Peak list (12 most intense, 10 to 80 degrees two-theta, in order of rising 2θ)
d_spacing, two_theta, I_rel
2.571, 34.90, 31
2.440, 36.84, 100
2.300, 39.17, 38
2.110, 42.87, 45
1.952, 46.53, 94
1.845, 49.39, 37
1.764, 51.84, 24
1.591, 57.95, 13
1.499, 61.90, 11
1.439, 64.78, 16
1.353, 69.46, 18
1.275, 74.41, 15

Atomic structure:
```
YCo4Ge2
1.0
7.2722 0.0000 0.0000
0.0000 7.2722 0.0000
0.0000 0.0000 3.6903
Y Co Ge
2 8 4
direct
0.0000 0.0000 0.0000
0.5000 0.5000 0.5000
0.0799 0.3534 0.5000
0.1466 0.5799 0.0000
0.3534 0.0799 0.5000
0.4201 0.8534 0.0000
0.5799 0.1466 0.0000
0.6466 0.9201 0.5000
0.8534 0.4201 0.0000
0.9201 0.6466 0.5000
0.2235 0.7765 0.5000
0.2765 0.2765 0.0000
0.7235 0.7235 0.0000
0.7765 0.2235 0.5000
```

=====

# Pr6Cd5Sb
Computed PXRD pattern, Cu Kα. Input: DFT lattice parameters and positions (PBE).
Peak positions follow from Bragg's law for the DFT cell and can differ from measured ones.

Peak list (12 most intense, 10 to 80 degrees two-theta, in order of rising 2θ)
d_spacing, two_theta, I_rel
2.770, 32.32, 20
2.741, 32.67, 100
1.950, 46.57, 14
1.925, 47.21, 7
1.594, 57.87, 14
1.584, 58.24, 15
1.581, 58.37, 7
1.576, 58.56, 7
1.370, 68.48, 9
1.232, 77.49, 6
1.230, 77.62, 3
1.219, 78.45, 6

Atomic structure:
```
Pr6Cd5Sb
1.0
2.7458 -8.3105 0.0000
2.7458 8.3105 0.0000
0.0000 0.0000 7.7008
Pr Cd Sb
6 5 1
direct
0.0000 0.0000 0.2433
0.0000 0.0000 0.7567
0.3356 0.6644 0.2526
0.3356 0.6644 0.7474
0.6644 0.3356 0.2526
0.6644 0.3356 0.7474
0.1656 0.8344 0.5000
0.1782 0.8218 0.0000
0.5000 0.5000 0.5000
0.8218 0.1782 0.0000
0.8344 0.1656 0.5000
0.5000 0.5000 0.0000
```

=====

# UInSe2N
Computed PXRD pattern, Cu Kα. Input: DFT lattice parameters and positions (PBE).
Peak positions follow from Bragg's law for the DFT cell and can differ from measured ones.

Peak list (12 most intense, 10 to 80 degrees two-theta, in order of rising 2θ)
d_spacing, two_theta, I_rel
7.623, 11.61, 22
3.811, 23.34, 35
3.427, 26.00, 40
3.062, 29.16, 78
2.713, 33.02, 100
2.704, 33.13, 32
2.387, 37.68, 58
2.210, 40.83, 39
1.918, 47.39, 40
1.626, 56.62, 25
1.495, 62.07, 27
1.206, 79.50, 23

Atomic structure:
```
UInSe2N
1.0
3.8367 0.0000 0.0000
0.0000 3.8367 0.0000
0.0000 0.0000 15.2454
U In Se N
2 2 4 2
direct
0.2500 0.2500 0.0774
0.7500 0.7500 0.9226
0.2500 0.2500 0.6406
0.7500 0.7500 0.3594
0.2500 0.2500 0.4000
0.2500 0.2500 0.8236
0.7500 0.7500 0.1764
0.7500 0.7500 0.6000
0.2500 0.7500 0.0000
0.7500 0.2500 0.0000
```

=====

# Ce2ZnAu2
Computed PXRD pattern, Cu Kα. Input: DFT lattice parameters and positions (PBE).
Peak positions follow from Bragg's law for the DFT cell and can differ from measured ones.

Peak list (12 most intense, 10 to 80 degrees two-theta, in order of rising 2θ)
d_spacing, two_theta, I_rel
4.842, 18.32, 17
3.028, 29.50, 18
2.672, 33.53, 94
2.496, 35.98, 15
2.474, 36.32, 100
2.440, 36.84, 44
2.421, 37.14, 22
2.281, 39.51, 68
2.023, 44.79, 27
1.514, 61.22, 22
1.352, 69.55, 15
1.305, 72.43, 26

Atomic structure:
```
Ce2ZnAu2
1.0
2.2823 -8.2405 0.0000
2.2823 8.2405 0.0000
0.0000 0.0000 5.9833
Ce Zn Au
4 2 4
direct
0.0191 0.9809 0.5000
0.2148 0.7852 0.4758
0.7852 0.2148 0.9758
0.9809 0.0191 0.0000
0.4016 0.5984 0.2677
0.5984 0.4016 0.7677
0.1631 0.8369 0.9626
0.3999 0.6001 0.7504
0.6001 0.3999 0.2504
0.8369 0.1631 0.4626
```

=====

# Ba2YTi3O8
Computed PXRD pattern, Cu Kα. Input: DFT lattice parameters and positions (PBE).
Peak positions follow from Bragg's law for the DFT cell and can differ from measured ones.

Peak list (12 most intense, 10 to 80 degrees two-theta, in order of rising 2θ)
d_spacing, two_theta, I_rel
3.997, 22.24, 18
2.826, 31.66, 46
2.774, 32.27, 100
2.279, 39.55, 30
1.999, 45.38, 35
1.926, 47.18, 11
1.622, 56.77, 39
1.592, 57.94, 18
1.413, 66.12, 10
1.387, 67.54, 14
1.264, 75.16, 8
1.259, 75.50, 8

Atomic structure:
```
Ba2YTi3O8
1.0
3.9972 0.0000 0.0000
0.0000 3.9972 0.0000
0.0000 0.0000 11.5574
Ba Y Ti O
2 1 3 8
direct
0.0000 0.0000 0.1706
0.0000 0.0000 0.8294
0.0000 0.0000 0.5000
0.5000 0.5000 0.0000
0.5000 0.5000 0.3531
0.5000 0.5000 0.6469
0.0000 0.5000 0.0000
0.0000 0.5000 0.3717
0.0000 0.5000 0.6283
0.5000 0.0000 0.0000
0.5000 0.0000 0.3717
0.5000 0.0000 0.6283
0.5000 0.5000 0.1830
0.5000 0.5000 0.8170
```

=====

# TlAg5
Computed PXRD pattern, Cu Kα. Input: DFT lattice parameters and positions (PBE).
Peak positions follow from Bragg's law for the DFT cell and can differ from measured ones.

Peak list (12 most intense, 10 to 80 degrees two-theta, in order of rising 2θ)
d_spacing, two_theta, I_rel
4.508, 19.69, 3
3.320, 26.85, 6
2.603, 34.46, 25
2.454, 36.61, 27
2.299, 39.18, 100
1.786, 51.16, 16
1.503, 61.74, 17
1.385, 67.63, 19
1.301, 72.66, 3
1.282, 73.97, 19
1.258, 75.60, 14
1.227, 77.83, 3

Atomic structure:
```
TlAg5
1.0
5.2051 0.0000 0.0000
-2.6026 4.5078 0.0000
0.0000 0.0000 4.9088
Tl Ag
1 5
direct
0.0000 0.0000 0.0000
0.0000 0.6552 0.5000
0.3333 0.6667 0.0000
0.3448 0.3448 0.5000
0.6552 0.0000 0.5000
0.6667 0.3333 0.0000
```

=====

# LaNd3Sm7
Computed PXRD pattern, Cu Kα. Input: DFT lattice parameters and positions (PBE).
Peak positions follow from Bragg's law for the DFT cell and can differ from measured ones.

Peak list (12 most intense, 10 to 80 degrees two-theta, in order of rising 2θ)
d_spacing, two_theta, I_rel
2.962, 30.17, 100
2.890, 30.94, 64
2.736, 32.73, 42
2.448, 36.71, 43
1.824, 50.00, 31
1.762, 51.90, 11
1.702, 53.88, 10
1.620, 56.84, 14
1.607, 57.32, 10
1.481, 62.73, 11
1.475, 63.00, 24
1.445, 64.49, 10

Atomic structure:
```
LaNd3Sm7
1.0
5.9480 -5.1047 0.0000
5.9480 5.1047 0.0000
-0.6183 0.0000 6.4826
La Nd Sm
1 3 7
direct
0.0000 0.0000 0.0000
0.3264 0.6736 0.5000
0.5000 0.5000 0.0000
0.6736 0.3264 0.5000
0.0000 0.0000 0.5000
0.0739 0.4208 0.7602
0.2632 0.2632 0.2907
0.4208 0.0739 0.7602
0.5792 0.9261 0.2398
0.7368 0.7368 0.7093
0.9261 0.5792 0.2398
```

=====

Please write out number 1 again, unchanged.
# NaPd2Pb2
Computed PXRD pattern, Cu Kα. Input: DFT lattice parameters and positions (PBE).
Peak positions follow from Bragg's law for the DFT cell and can differ from measured ones.

Peak list (12 most intense, 10 to 80 degrees two-theta, in order of rising 2θ)
d_spacing, two_theta, I_rel
7.639, 11.58, 35
4.709, 18.84, 29
4.009, 22.18, 22
3.375, 26.40, 62
3.260, 27.36, 34
3.129, 28.53, 40
2.466, 36.43, 100
2.420, 37.15, 24
2.356, 38.20, 74
2.240, 40.26, 53
2.153, 41.97, 51
1.282, 73.91, 24

Atomic structure:
```
NaPd2Pb2
1.0
6.2574 0.0000 0.0000
0.0000 4.7093 0.0000
0.0000 0.0000 7.6388
Na Pd Pb
2 4 4
direct
0.0000 0.0000 0.0000
0.5000 0.0000 0.0000
0.0000 0.5000 0.5000
0.2500 0.5000 0.1741
0.5000 0.5000 0.5000
0.7500 0.5000 0.8259
0.2500 0.0000 0.3972
0.2500 0.5000 0.8050
0.7500 0.0000 0.6028
0.7500 0.5000 0.1950
```

=====

Question: Which formula does entry 11 have?
Answer: TlAg5